(1)
Theoretical powder diffraction line list of Co3Sb4O6F6 for Cu Kα X-rays, from a crystal structure in the Materials Project, relaxed with PBE+U.

Cell and atoms:
abc: 8.313 8.313 8.313
angles: 90.00 90.00 90.00
Space group I-43m (No. 217)
One atom of each set of equivalent atoms:
Co1 0.000 0.000 0.500 x6
Sb1 0.159 0.159 0.841 x8
O1 0.000 0.000 0.249 x12
F1 0.000 0.250 0.500 x12

Largest 6 diffraction maxima, by intensity, 2θ from 5° to 70°:
26.26 deg, rel. 100
34.11 deg, rel. 49
46.34 deg, rel. 33
49.01 deg, rel. 23
61.06 deg, rel. 22
37.48 deg, rel. 16

---

(2)
Theoretical powder diffraction line list of Li3VSiO5 for Cu Kα X-rays, from a crystal structure in the Materials Project, relaxed with PBE+U.

Cell and atoms:
abc: 5.530 15.989 4.946
angles: 90.00 90.00 90.00
Space group Pna2_1 (No. 33)
One atom of each set of equivalent atoms:
Li1 0.164 0.006 0.000 x4
Li2 0.166 0.591 0.996 x4
Li3 0.173 0.195 0.001 x4
V1 0.176 0.802 0.000 x4
Si1 0.163 0.403 0.001 x4
O1 0.119 0.602 0.600 x4
O2 0.160 0.202 0.592 x4
O3 0.173 0.399 0.661 x4
O4 0.186 0.984 0.603 x4
O5 0.192 0.814 0.599 x4

Largest 6 diffraction maxima, by intensity, 2θ from 5° to 70°:
32.35 deg, rel. 100
19.52 deg, rel. 95
24.55 deg, rel. 70
36.33 deg, rel. 56
37.23 deg, rel. 48
65.95 deg, rel. 37

---

(3)
Theoretical powder diffraction line list of Na8ThUMo8O32 for Cu Kα X-rays, from a crystal structure in the Materials Project, relaxed with PBE+U.

Cell and atoms:
abc: 11.460 11.460 12.246
angles: 90.00 90.00 90.00
Space group I-4 (No. 82)
One atom of each set of equivalent atoms:
Na1 0.119 0.269 0.465 x8
Na2 0.120 0.770 0.785 x8
Th1 0.000 0.500 0.250 x2
U1 0.000 0.000 0.000 x2
Mo1 0.085 0.322 0.996 x8
Mo2 0.086 0.826 0.252 x8
O1 0.050 0.152 0.317 x8
O2 0.050 0.651 0.931 x8
O3 0.057 0.113 0.846 x8
O4 0.061 0.614 0.406 x8
O5 0.085 0.176 0.060 x8
O6 0.088 0.680 0.186 x8
O7 0.164 0.199 0.649 x8
O8 0.169 0.698 0.603 x8

Largest 6 diffraction maxima, by intensity, 2θ from 5° to 70°:
10.57 deg, rel. 100
28.62 deg, rel. 92
24.41 deg, rel. 31
18.77 deg, rel. 28
46.20 deg, rel. 22
29.02 deg, rel. 17

---

(4)
Theoretical powder diffraction line list of BaYZn3CoO7 for Cu Kα X-rays, from a crystal structure in the Materials Project, relaxed with PBE+U.

Cell and atoms:
abc: 6.4262 6.4262 10.3769
angles: 90.00 90.00 120.00
Space group P6_3mc (No. 186)
One atom of each set of equivalent atoms:
Ba1 0.3333 0.6667 0.0000 x2
Y1 0.3333 0.6667 0.6384 x2
Zn1 0.1702 0.3404 0.3221 x6
Co1 0.0000 0.0000 0.0725 x2
O1 0.0000 0.0000 0.2579 x2
O2 0.0088 0.5044 0.7675 x6
O3 0.1600 0.3199 0.5159 x6

Largest 6 diffraction maxima, by intensity, 2θ from 5° to 70°:
33.34 deg, rel. 100
32.78 deg, rel. 87
30.43 deg, rel. 85
57.35 deg, rel. 42
55.21 deg, rel. 39
50.80 deg, rel. 37

---

(5)
Theoretical powder diffraction line list of CsAlMo2O8 for Cu Kα X-rays, from a crystal structure in the Materials Project, relaxed with PBE+U.

Cell and atoms:
abc: 5.6503 5.6503 8.2648
angles: 90.00 90.00 120.00
Space group P-3m1 (No. 164)
One atom of each set of equivalent atoms:
Cs1 0.0000 0.0000 0.0000 x1
Al1 0.0000 0.0000 0.5000 x1
Mo1 0.3333 0.6667 0.7022 x2
O1 0.1575 0.3150 0.6358 x6
O2 0.3333 0.6667 0.9143 x2

Largest 6 diffraction maxima, by intensity, 2θ from 5° to 70°:
21.10 deg, rel. 100
28.27 deg, rel. 59
31.67 deg, rel. 45
50.57 deg, rel. 20
54.34 deg, rel. 19
42.96 deg, rel. 17